The following is a theoretical powder diffractogram of ZrBr2Cl. It was derived from DFT lattice parameters and positions (GGA-PBE), using λ = 1.5418 Å (Cu Kα).
Kinematic intensities with the Lorentz-polarization factor, no thermal factor.

Main lines, most intense first (5° ≤ 2θ ≤ 70°):
29.4 deg, I 100, hkl 1 3 1
14.6 deg, I 89, hkl 0 1 1
14.8 deg, I 72, hkl 0 2 0
38.9 deg, I 57, hkl 2 3 1
29.2 deg, I 50, hkl 1 0 2
44.8 deg, I 38, hkl 0 3 3
38.7 deg, I 27, hkl 2 0 2
32.4 deg, I 24, hkl 2 1 1
41.6 deg, I 22, hkl 2 2 2
54.8 deg, I 20, hkl 1 6 2

Cell lengths 6.207, 12.011, 7.029 Å; angles 90.00, 90.00, 90.00 degrees
Space group Amm2 (No. 38)
Symmetry-distinct sites (fractional):
Zr (0.243, 0.000, 0.000) [4 per cell]
Br (0.000, 0.000, 0.682) [2 per cell]
Br (0.500, 0.000, 0.315) [2 per cell]
Br (0.500, 0.160, 0.849) [4 per cell]
Cl (0.000, 0.147, 0.151) [4 per cell]

=====

The following is a theoretical powder diffractogram of ZrBr2Cl2. It was derived from DFT lattice parameters and positions (GGA-PBE), using λ = 1.5418 Å (Cu Kα).
Kinematic intensities with the Lorentz-polarization factor, no thermal factor.

Main lines, most intense first (5° ≤ 2θ ≤ 70°):
32.2 deg, I 100, hkl 1 2 1
20.0 deg, I 89, hkl 1 1 -1
13.7 deg, I 45, hkl 1 0 0
33.7 deg, I 44, hkl 2 0 -2
18.3 deg, I 36, hkl 0 1 1
45.2 deg, I 32, hkl 0 4 0
46.2 deg, I 31, hkl 3 2 -1
27.9 deg, I 29, hkl 1 2 -1
48.5 deg, I 28, hkl 1 2 -3
17.7 deg, I 24, hkl 1 1 0

Cell lengths 6.776, 8.027, 6.378 Å; angles 90.00, 108.08, 90.00 degrees
Space group P2/c (No. 13)
Symmetry-distinct sites (fractional):
Zr (0.000, 0.154, 0.250) [2 per cell]
Br (0.257, 0.355, 0.480) [4 per cell]
Cl (0.213, 0.099, 0.996) [4 per cell]

=====

The following is a theoretical powder diffractogram of Zr2Br5Cl. It was derived from DFT lattice parameters and positions (GGA-PBE), using λ = 1.5418 Å (Cu Kα).
Kinematic intensities with the Lorentz-polarization factor, no thermal factor.

Main lines, most intense first (5° ≤ 2θ ≤ 70°):
14.4 deg, I 100, hkl 0 1 1
28.8 deg, I 88, hkl 1 3 1
29.0 deg, I 50, hkl 1 0 2
38.3 deg, I 45, hkl 2 3 1
44.2 deg, I 33, hkl 0 3 3
14.3 deg, I 29, hkl 0 2 0
38.5 deg, I 28, hkl 2 0 2
50.7 deg, I 17, hkl 3 3 1
43.8 deg, I 17, hkl 0 6 0
32.1 deg, I 16, hkl 2 2 0

Cell lengths 6.249, 12.409, 7.067 Å; angles 90.00, 90.00, 90.00 degrees
Space group Amm2 (No. 38)
Symmetry-distinct sites (fractional):
Zr (0.244, 0.000, 0.000) [4 per cell]
Br (0.000, 0.157, 0.846) [4 per cell]
Br (0.500, 0.000, 0.689) [2 per cell]
Br (0.500, 0.153, 0.162) [4 per cell]
Cl (0.000, 0.000, 0.292) [2 per cell]

=====

The following is a theoretical powder diffractogram of Zr2Br3Cl3. It was derived from DFT lattice parameters and positions (GGA-PBE), using λ = 1.5418 Å (Cu Kα).
Kinematic intensities with the Lorentz-polarization factor, no thermal factor.

Main lines, most intense first (5° ≤ 2θ ≤ 70°):
15.1 deg, I 100, hkl 1 0 -1
15.0 deg, I 59, hkl 1 0 0
29.6 deg, I 49, hkl 1 1 1
29.8 deg, I 49, hkl 1 1 -2
30.1 deg, I 48, hkl 2 1 -1
14.8 deg, I 33, hkl 0 0 1
39.5 deg, I 32, hkl 2 2 -1
32.6 deg, I 31, hkl 0 2 1
39.3 deg, I 29, hkl 1 2 -2
39.1 deg, I 29, hkl 1 2 1

Cell lengths 6.759, 6.181, 6.852 Å; angles 90.00, 118.78, 90.00 degrees
Space group Pm (No. 6)
Symmetry-distinct sites (fractional):
Zr (0.000, 0.242, 0.000) [2 per cell]
Br (0.328, 0.000, 0.319) [1 per cell]
Br (0.680, 0.500, 0.681) [1 per cell]
Br (0.991, 0.500, 0.317) [1 per cell]
Cl (0.003, 0.000, 0.699) [1 per cell]
Cl (0.295, 0.500, 0.991) [1 per cell]
Cl (0.693, 0.000, 0.995) [1 per cell]